For CaMnO2, the PBE+U geometry in the Materials Project gives the theoretical powder X-ray diffraction pattern in this record (Cu Ka).

Crystal structure
a b c (Å): 3.277 6.552 5.738
angles (deg): 90.00 124.63 90.00
Element x y z (fractional)
Ca  0.000  0.134  0.000
Ca  0.000  0.866  0.500
Mn  0.996  0.379  0.497
Mn  0.996  0.621  0.997
O  0.501  0.134  0.501
O  0.501  0.866  0.001
O  0.507  0.390  0.006
O  0.507  0.610  0.506

Main lines, sorted by position (5 to 70 degrees two-theta):
2theta  d (Å)  I (rel.)
13.51  6.552  8
33.26  2.693  58
33.34  2.688  19
38.12  2.361  54
38.87  2.317  100
55.50  1.656  30
55.66  1.651  30
56.14  1.638  29
66.80  1.401  10
66.90  1.399  10
69.74  1.348  7
69.90  1.346  13


For KVNiOF6, the PBE+U geometry in the Materials Project gives the theoretical powder X-ray diffraction pattern in this record (Cu Ka).

Crystal structure
a b c (Å): 7.550 7.550 7.550
angles (deg): 119.89 119.51 90.53
Element x y z (fractional)
K  0.000  0.000  0.000
K  0.500  0.000  0.500
V  0.000  0.500  0.500
V  0.500  0.500  0.000
Ni  0.500  0.000  0.000
Ni  0.500  0.500  0.500
O  0.080  0.830  0.250
O  0.920  0.170  0.750
F  0.180  0.436  0.375
F  0.180  0.806  0.745
F  0.193  0.443  0.750
F  0.431  0.181  0.250
F  0.439  0.194  0.875
F  0.439  0.564  0.245
F  0.561  0.436  0.755
F  0.561  0.806  0.125
F  0.569  0.819  0.750
F  0.807  0.557  0.250
F  0.820  0.194  0.255
F  0.820  0.564  0.625

Main lines, sorted by position (5 to 70 degrees two-theta):
2theta  d (Å)  I (rel.)
14.33  6.181  100
27.64  3.227  39
27.79  3.211  14
28.87  3.092  65
28.98  3.081  50
36.66  2.451  10
43.91  2.062  17
47.84  1.901  12
48.20  1.888  52
56.91  1.618  13
57.10  1.613  15
57.43  1.605  15


For Be3Fe4Si3TeO12, the PBE+U geometry in the Materials Project gives the theoretical powder X-ray diffraction pattern in this record (Cu Ka).

Crystal structure
a b c (Å): 8.432 8.447 8.455
angles (deg): 89.66 89.75 89.49
Element x y z (fractional)
Be  0.000  0.000  0.000
Be  0.000  0.002  0.500
Be  0.252  0.501  0.752
Be  0.499  0.253  0.251
Be  0.501  0.753  0.250
Be  0.752  0.505  0.749
Fe  0.185  0.312  0.434
Fe  0.187  0.685  0.059
Fe  0.310  0.189  0.932
Fe  0.320  0.815  0.561
Fe  0.683  0.816  0.940
Fe  0.684  0.188  0.560
Fe  0.812  0.687  0.435
Fe  0.818  0.318  0.060
Si  0.000  0.753  0.750
Si  0.003  0.253  0.748
Si  0.250  0.004  0.248
Si  0.501  0.502  0.502
Si  0.502  0.503  0.002
Si  0.751  0.002  0.251
Te  0.001  0.502  0.249
Te  0.500  0.002  0.750
O  0.077  0.143  0.892
O  0.080  0.859  0.607
O  0.141  0.080  0.391
O  0.142  0.643  0.827
O  0.147  0.924  0.105
O  0.150  0.357  0.673
O  0.355  0.150  0.172
O  0.358  0.426  0.897
O  0.359  0.581  0.610
O  0.359  0.863  0.328
O  0.423  0.358  0.398
O  0.425  0.648  0.107
O  0.577  0.645  0.393
O  0.580  0.359  0.109
O  0.641  0.144  0.329
O  0.645  0.859  0.174
O  0.646  0.580  0.894
O  0.647  0.425  0.608
O  0.856  0.080  0.107
O  0.856  0.650  0.672
O  0.857  0.925  0.396
O  0.861  0.363  0.827
O  0.923  0.857  0.895
O  0.924  0.150  0.605

Main lines, sorted by position (5 to 70 degrees two-theta):
2theta  d (Å)  I (rel.)
14.82  5.978  23
25.71  3.466  45
25.87  3.444  100
25.95  3.433  30
29.83  2.995  19
30.03  2.976  20
39.74  2.268  18
40.01  2.254  20
40.11  2.248  17
45.43  1.997  35
45.58  1.990  29
45.71  1.985  28


For VPbO3, the PBE+U geometry in the Materials Project gives the theoretical powder X-ray diffraction pattern in this record (Cu Ka).

Crystal structure
a b c (Å): 3.832 3.832 4.958
angles (deg): 90.00 90.00 90.00
Element x y z (fractional)
V  0.000  0.000  0.000
Pb  0.500  0.500  0.424
O  0.000  0.000  0.659
O  0.000  0.500  0.125
O  0.500  0.000  0.125

Main lines, sorted by position (5 to 70 degrees two-theta):
2theta  d (Å)  I (rel.)
17.89  4.958  31
23.21  3.832  26
29.46  3.032  100
33.06  2.710  34
36.23  2.479  10
37.84  2.378  25
43.48  2.082  22
47.45  1.916  20
49.86  1.829  23
56.84  1.620  32
61.09  1.517  20
66.28  1.410  19


For KDyMo2O8, the PBE+U geometry in the Materials Project gives the theoretical powder X-ray diffraction pattern in this record (Cu Ka).

Crystal structure
a b c (Å): 5.319 6.982 10.772
angles (deg): 94.37 103.25 112.04
Element x y z (fractional)
K  0.185  0.305  0.052
K  0.815  0.695  0.948
Dy  0.305  0.184  0.437
Dy  0.695  0.816  0.563
Mo  0.039  0.429  0.669
Mo  0.425  0.060  0.782
Mo  0.575  0.940  0.218
Mo  0.961  0.571  0.331
O  0.064  0.357  0.307
O  0.171  0.055  0.626
O  0.234  0.412  0.819
O  0.252  0.999  0.903
O  0.279  0.814  0.417
O  0.287  0.485  0.567
O  0.290  0.695  0.152
O  0.419  0.125  0.251
O  0.581  0.875  0.749
O  0.710  0.305  0.848
O  0.713  0.515  0.433
O  0.721  0.186  0.583
O  0.748  0.001  0.097
O  0.766  0.588  0.181
O  0.829  0.945  0.374
O  0.936  0.643  0.693

Main lines, sorted by position (5 to 70 degrees two-theta):
2theta  d (Å)  I (rel.)
8.57  10.315  100
27.03  3.298  49
27.48  3.246  44
27.66  3.225  49
28.01  3.186  48
30.23  2.957  25
31.74  2.820  24
33.71  2.659  18
45.14  2.008  14
45.84  1.979  14
45.96  1.975  13
52.63  1.739  12


For VZn2O4, the PBE+U geometry in the Materials Project gives the theoretical powder X-ray diffraction pattern in this record (Cu Ka).

Crystal structure
a b c (Å): 6.046 6.046 6.046
angles (deg): 120.42 120.17 89.48
Element x y z (fractional)
V  0.000  0.000  0.000
V  0.500  0.000  0.500
Zn  0.000  0.000  0.500
Zn  0.000  0.500  0.000
Zn  0.385  0.635  0.750
Zn  0.615  0.365  0.250
O  0.211  0.222  0.989
O  0.254  0.228  0.474
O  0.254  0.780  0.026
O  0.266  0.778  0.489
O  0.734  0.222  0.511
O  0.746  0.220  0.974
O  0.746  0.772  0.526
O  0.789  0.778  0.011

Main lines, sorted by position (5 to 70 degrees two-theta):
2theta  d (Å)  I (rel.)
17.99  4.929  7
29.58  3.020  46
34.70  2.585  48
34.94  2.568  100
36.45  2.465  13
42.48  2.128  14
55.64  1.652  15
56.08  1.640  20
56.18  1.637  13
61.34  1.511  41
61.52  1.507  11
61.77  1.502  10


For CrH14N3O8, the PBE+U geometry in the Materials Project gives the theoretical powder X-ray diffraction pattern in this record (Cu Ka).

Crystal structure
a b c (Å): 6.707 6.707 6.707
angles (deg): 116.16 116.16 96.78
Element x y z (fractional)
Cr  0.000  0.000  0.000
H  0.154  0.804  0.587
H  0.196  0.782  0.349
H  0.218  0.567  0.413
H  0.322  0.658  0.000
H  0.342  0.342  0.664
H  0.387  0.387  0.000
H  0.433  0.846  0.651
H  0.567  0.218  0.413
H  0.613  0.613  0.000
H  0.658  0.322  0.000
H  0.678  0.678  0.336
H  0.782  0.196  0.349
H  0.804  0.154  0.587
H  0.846  0.433  0.651
N  0.250  0.750  0.500
N  0.500  0.500  0.000
N  0.750  0.250  0.500
O  0.022  0.708  0.000
O  0.220  0.220  0.461
O  0.242  0.780  0.000
O  0.292  0.292  0.314
O  0.708  0.022  0.000
O  0.758  0.758  0.539
O  0.780  0.242  0.000
O  0.978  0.978  0.686

Main lines, sorted by position (5 to 70 degrees two-theta):
2theta  d (Å)  I (rel.)
15.97  5.548  100
17.69  5.015  27
19.94  4.454  32
26.77  3.330  79
29.91  2.988  17
35.81  2.507  41
41.32  2.185  23
41.67  2.167  11
45.27  2.003  23
47.33  1.921  14
55.17  1.665  12
67.53  1.387  10


For MgW2O4F4, the PBE+U geometry in the Materials Project gives the theoretical powder X-ray diffraction pattern in this record (Cu Ka).

Crystal structure
a b c (Å): 3.925 3.925 10.124
angles (deg): 90.16 90.16 90.86
Element x y z (fractional)
Mg  0.000  0.000  0.000
W  0.033  0.033  0.611
W  0.505  0.505  0.137
O  0.005  0.503  0.097
O  0.028  0.523  0.618
O  0.503  0.005  0.097
O  0.523  0.028  0.618
F  0.015  0.015  0.427
F  0.016  0.016  0.809
F  0.506  0.506  0.328
F  0.508  0.508  0.930

Main lines, sorted by position (5 to 70 degrees two-theta):
2theta  d (Å)  I (rel.)
17.52  5.062  53
24.32  3.659  100
32.01  2.796  15
32.51  2.754  14
35.02  2.562  12
35.12  2.555  14
35.47  2.531  11
46.27  1.962  18
50.80  1.797  9
52.61  1.740  12
53.29  1.719  11
59.73  1.548  9


For Li9Mn2Co5O16, the PBE+U geometry in the Materials Project gives the theoretical powder X-ray diffraction pattern in this record (Cu Ka).

Crystal structure
a b c (Å): 2.960 9.754 10.132
angles (deg): 77.62 88.96 87.83
Element x y z (fractional)
Li  0.000  0.000  0.000
Li  0.001  0.499  0.748
Li  0.011  0.509  0.247
Li  0.498  0.247  0.370
Li  0.505  0.753  0.616
Li  0.506  0.749  0.130
Li  0.508  0.251  0.869
Li  0.989  0.746  0.364
Li  0.992  0.002  0.488
Mn  0.500  0.506  0.491
Mn  0.514  0.003  0.745
Co  0.005  0.249  0.122
Co  0.020  0.254  0.622
Co  0.494  0.501  0.997
Co  0.502  0.990  0.251
Co  0.992  0.750  0.870
O  0.002  0.373  0.944
O  0.012  0.383  0.449
O  0.038  0.127  0.299
O  0.052  0.128  0.799
O  0.452  0.625  0.818
O  0.499  0.614  0.321
O  0.500  0.375  0.173
O  0.503  0.367  0.670
O  0.503  0.893  0.417
O  0.510  0.120  0.077
O  0.531  0.872  0.922
O  0.536  0.142  0.571
O  0.971  0.874  0.690
O  0.974  0.886  0.189
O  0.987  0.608  0.552
O  0.987  0.627  0.045

Main lines, sorted by position (5 to 70 degrees two-theta):
2theta  d (Å)  I (rel.)
9.29  9.522  8
18.35  4.834  100
35.16  2.552  18
36.31  2.474  13
36.77  2.444  11
37.78  2.381  7
42.23  2.140  30
43.99  2.059  27
44.75  2.025  25
62.40  1.488  8
62.83  1.479  8
62.97  1.476  7


For MgV2CdO6, the PBE+U geometry in the Materials Project gives the theoretical powder X-ray diffraction pattern in this record (Cu Ka).

Crystal structure
a b c (Å): 5.734 5.734 6.682
angles (deg): 102.87 102.87 36.97
Element x y z (fractional)
Mg  0.000  0.000  0.000
V  0.275  0.275  0.823
V  0.725  0.725  0.177
Cd  0.500  0.500  0.500
O  0.153  0.153  0.610
O  0.192  0.192  0.062
O  0.448  0.448  0.799
O  0.552  0.552  0.201
O  0.808  0.808  0.938
O  0.847  0.847  0.390

Main lines, sorted by position (5 to 70 degrees two-theta):
2theta  d (Å)  I (rel.)
19.00  4.672  31
24.08  3.696  54
25.92  3.438  33
28.68  3.112  67
30.33  2.947  100
33.92  2.643  31
35.48  2.530  19
35.85  2.505  47
47.91  1.899  26
49.26  1.850  21
50.19  1.818  25
59.16  1.562  19